1.
Computed X-ray diffraction stick pattern
Compound: CaMnSeO
Radiation: a wavelength of 1.5418 Å
Structure: a cell relaxed with PBE+U
No peak broadening, texture or thermal motion is included.

Crystal structure
a = 3.7021 Å, b = 3.7021 Å, c = 18.1483 Å
α = 90.00°, β = 90.00°, γ = 120.00°
Sites, in units of the cell vectors:
Ca  0.0000  0.0000  0.0000
Ca  0.3333  0.6667  0.6667
Ca  0.6667  0.3333  0.3333
Mn  0.0000  0.0000  0.5285
Mn  0.3333  0.6667  0.1952
Mn  0.6667  0.3333  0.8618
Se  0.0000  0.0000  0.7781
Se  0.3333  0.6667  0.4448
Se  0.6667  0.3333  0.1115
O  0.0000  0.0000  0.2714
O  0.3333  0.6667  0.9381
O  0.6667  0.3333  0.6048

Main lines, in order of rising 2θ (2θ from 15° to 90°):
2theta	I (rel.)
28.27	24
34.25	100
37.43	22
44.96	10
49.22	62
61.33	19
63.42	8
68.85	11
72.15	8
82.36	20


2.
Computed X-ray diffraction stick pattern
Compound: FeCu5O8
Radiation: a wavelength of 1.5418 Å
Structure: a cell relaxed with PBE+U
No peak broadening, texture or thermal motion is included.

Crystal structure
a = 5.9262 Å, b = 5.9262 Å, c = 5.9262 Å
α = 60.00°, β = 60.00°, γ = 60.00°
Sites, in units of the cell vectors:
Fe  0.0000  0.0000  0.0000
Cu  0.3757  0.3757  0.3757
Cu  0.3757  0.3757  0.8729
Cu  0.3757  0.8729  0.3757
Cu  0.7500  0.7500  0.7500
Cu  0.8729  0.3757  0.3757
O  0.1330  0.1330  0.1330
O  0.1330  0.1330  0.6009
O  0.1330  0.6009  0.1330
O  0.1534  0.6155  0.6155
O  0.6009  0.1330  0.1330
O  0.6155  0.1534  0.6155
O  0.6155  0.6155  0.1534
O  0.6155  0.6155  0.6155

Main lines, in order of rising 2θ (2θ from 15° to 90°):
2theta	I (rel.)
18.34	12
30.16	26
35.53	100
37.16	13
43.18	20
53.57	9
57.11	35
62.71	43
74.20	10
89.91	17